RbTa2Ni: theoretical X-ray diffraction stick pattern (Cu Kα), based on a cell relaxed with GGA-PBE.
Peak positions follow from Bragg's law for the DFT cell and can differ from measured ones.

Structure:
```
data_RbTa2Ni
_symmetry_space_group_name_H-M 'I 41/a m d'
_symmetry_Int_Tables_number 141
_cell_length_a 5.333
_cell_length_b 5.333
_cell_length_c 16.669
_cell_angle_alpha 90.00
_cell_angle_beta 90.00
_cell_angle_gamma 90.00
loop_
_symmetry_equiv_pos_as_xyz
'x,y,z'
'-x,-y,-z'
'-y+1/4,x+3/4,z+1/4'
'y+1/4,-x+3/4,-z+1/4'
'-x+1/2,-y,z+1/2'
'x+1/2,y,-z+1/2'
'y+1/4,-x+1/4,z+3/4'
'-y+1/4,x+1/4,-z+3/4'
'x,-y,-z'
'-x,y,z'
'-y+1/4,-x+1/4,-z+3/4'
'y+1/4,x+1/4,z+3/4'
'-x+1/2,y,-z+1/2'
'x+1/2,-y,z+1/2'
'y+1/4,x+3/4,-z+1/4'
'-y+1/4,-x+3/4,z+1/4'
'x+1/2,y+1/2,z+1/2'
'-x+1/2,-y+1/2,-z+1/2'
'-y+3/4,x+1/4,z+3/4'
'y+3/4,-x+1/4,-z+3/4'
'-x,-y+1/2,z'
'x,y+1/2,-z'
'y+3/4,-x+3/4,z+1/4'
'-y+3/4,x+3/4,-z+1/4'
'x+1/2,-y+1/2,-z+1/2'
'-x+1/2,y+1/2,z+1/2'
'-y+3/4,-x+3/4,-z+1/4'
'y+3/4,x+3/4,z+1/4'
'-x,y+1/2,-z'
'x,-y+1/2,z'
'y+3/4,x+1/4,-z+3/4'
'-y+3/4,-x+1/4,z+3/4'
loop_
_atom_site_label
_atom_site_type_symbol
_atom_site_fract_x
_atom_site_fract_y
_atom_site_fract_z
Rb1 Rb 0.000 0.250 0.375
Ta1 Ta 0.000 0.000 0.000
Ni1 Ni 0.000 0.250 0.875
```

Most intense lines, 10 to 80 degrees two-theta, by intensity:
h k l, 2theta, I (rel.)
1 0 1, 17.5, 100
2 0 2, 35.3, 84
1 0 3, 23.1, 73
2 2 4, 53.3, 53
2 1 1, 38.1, 40
2 0 6, 47.2, 37